Theoretical powder diffraction line list of Ce5Sn3 for Cu Kα (weighted mean of Kα1 and Kα2), from a PBE-relaxed structure.

Principal peaks in the range 2θ from 10° to 90°, low angle first:
hkl 2 2 0, 30.31 deg, d 2.949, I 24
hkl 2 1 3, 31.03 deg, d 2.882, I 100
hkl 3 1 0, 33.99 deg, d 2.637, I 77
hkl 0 0 6, 39.71 deg, d 2.270, I 12
hkl 4 1 3, 49.32 deg, d 1.848, I 18
hkl 3 1 6, 53.24 deg, d 1.720, I 10
hkl 0 0 8, 53.85 deg, d 1.702, I 11
hkl 3 3 6, 62.50 deg, d 1.486, I 8
hkl 4 4 0, 63.06 deg, d 1.474, I 15
hkl 5 2 3, 63.47 deg, d 1.466, I 11
hkl 5 3 0, 65.23 deg, d 1.430, I 11
hkl 2 1 9, 66.70 deg, d 1.402, I 14

Crystal structure
a b c (Å): 8.3394 8.3394 13.6204
angles (deg): 90.00 90.00 90.00
Space group I4/mcm (No. 140)
Symmetry-distinct sites (fractional):
Ce  0.0000  0.0000  0.0000 (multiplicity 4)
Ce  0.1733  0.3267  0.1558 (multiplicity 16)
Sn  0.0000  0.0000  0.2500 (multiplicity 4)
Sn  0.1278  0.3722  0.5000 (multiplicity 8)

---

Theoretical powder diffraction line list of AlVCrC for Cu Kα (weighted mean of Kα1 and Kα2), from a PBE-relaxed structure.

Principal peaks in the range 2θ from 10° to 90°, low angle first:
hkl 0 0 2, 13.76 deg, d 6.435, I 29
hkl 1 0 0, 35.99 deg, d 2.495, I 19
hkl 0 1 1, 36.69 deg, d 2.450, I 6
hkl 0 1 3, 41.88 deg, d 2.157, I 100
hkl 0 0 6, 42.13 deg, d 2.145, I 18
hkl 1 0 4, 46.03 deg, d 1.972, I 4
hkl 1 0 6, 56.58 deg, d 1.627, I 16
hkl 1 1 0, 64.71 deg, d 1.441, I 19
hkl 2 0 0, 76.33 deg, d 1.248, I 2
hkl 0 1 9, 76.83 deg, d 1.241, I 14
hkl 2 0 3, 80.11 deg, d 1.198, I 13
hkl 1 1 6, 80.28 deg, d 1.196, I 14

Crystal structure
a b c (Å): 2.8811 2.8811 12.8704
angles (deg): 90.00 90.00 120.00
Space group P-3m1 (No. 164)
Symmetry-distinct sites (fractional):
Al  0.3333  0.6667  0.2433 (multiplicity 2)
V  0.3333  0.6667  0.5876 (multiplicity 2)
Cr  0.3333  0.6667  0.9175 (multiplicity 2)
C  0.0000  0.0000  0.0000 (multiplicity 1)
C  0.0000  0.0000  0.5000 (multiplicity 1)

---

Theoretical powder diffraction line list of Dy2TlZn for Cu Kα (weighted mean of Kα1 and Kα2), from a PBE-relaxed structure.

Principal peaks in the range 2θ from 10° to 90°, low angle first:
hkl 1 1 1, 20.84 deg, d 4.263, I 11
hkl 2 0 0, 24.11 deg, d 3.692, I 1
hkl 2 2 0, 34.35 deg, d 2.610, I 100
hkl 3 1 1, 40.52 deg, d 2.226, I 6
hkl 4 0 0, 49.37 deg, d 1.846, I 18
hkl 3 3 1, 54.15 deg, d 1.694, I 3
hkl 4 2 2, 61.53 deg, d 1.507, I 37
hkl 5 1 1, 65.71 deg, d 1.421, I 2
hkl 4 4 0, 72.41 deg, d 1.305, I 12
hkl 5 3 1, 76.30 deg, d 1.248, I 2
hkl 6 2 0, 82.66 deg, d 1.167, I 16
hkl 5 3 3, 86.42 deg, d 1.126, I 1

Crystal structure
a b c (Å): 7.3833 7.3833 7.3833
angles (deg): 90.00 90.00 90.00
Space group Fm-3m (No. 225)
Symmetry-distinct sites (fractional):
Dy  0.2500  0.2500  0.2500 (multiplicity 8)
Tl  0.0000  0.0000  0.0000 (multiplicity 4)
Zn  0.0000  0.0000  0.5000 (multiplicity 4)

---

Theoretical powder diffraction line list of NbSeN for Cu Kα (weighted mean of Kα1 and Kα2), from a PBE-relaxed structure.

Principal peaks in the range 2θ from 10° to 90°, low angle first:
hkl 0 0 2, 28.02 deg, d 3.184, I 10
hkl 1 1 0, 34.54 deg, d 2.597, I 63
hkl 1 0 2, 37.35 deg, d 2.408, I 100
hkl 1 1 2, 45.02 deg, d 2.014, I 8
hkl 1 0 3, 49.54 deg, d 1.840, I 9
hkl 2 0 0, 49.65 deg, d 1.836, I 29
hkl 2 1 2, 63.74 deg, d 1.460, I 39
hkl 1 1 4, 69.13 deg, d 1.359, I 9
hkl 2 2 0, 72.81 deg, d 1.299, I 15
hkl 3 1 0, 83.18 deg, d 1.161, I 10
hkl 1 1 5, 84.68 deg, d 1.145, I 9
hkl 3 0 2, 84.84 deg, d 1.143, I 9

Crystal structure
a b c (Å): 3.6725 3.6725 6.3782
angles (deg): 90.00 90.00 90.00
Space group P4/nmm (No. 129, origin choice 2)
Symmetry-distinct sites (fractional):
Nb  0.2500  0.2500  0.1730 (multiplicity 2)
Se  0.2500  0.2500  0.6185 (multiplicity 2)
N  0.2500  0.7500  0.0000 (multiplicity 2)

---

Theoretical powder diffraction line list of MgCrWS4 for Cu Kα (weighted mean of Kα1 and Kα2), from a PBE-relaxed structure.

Principal peaks in the range 2θ from 10° to 90°, low angle first:
hkl 0 1 0, 14.65 deg, d 6.045, I 100
hkl 0 1 1, 16.95 deg, d 5.232, I 19
hkl 0 1 -1, 24.03 deg, d 3.703, I 13
hkl 0 2 1, 28.28 deg, d 3.155, I 23
hkl 2 0 1, 29.76 deg, d 3.002, I 18
hkl 2 1 2, 29.99 deg, d 2.979, I 17
hkl 0 2 2, 34.28 deg, d 2.616, I 23
hkl 2 2 0, 35.62 deg, d 2.521, I 35
hkl 0 3 2, 45.02 deg, d 2.013, I 21
hkl 0 2 -2, 49.22 deg, d 1.851, I 11
hkl 2 0 -2, 49.96 deg, d 1.826, I 17
hkl 2 4 2, 50.57 deg, d 1.805, I 15

Crystal structure
a b c (Å): 6.8841 7.2374 7.2375
angles (deg): 61.54 62.33 62.32
Space group P1 (No. 1)
Symmetry-distinct sites (fractional):
Mg  0.0000  0.0000  0.0000 (multiplicity 1)
Mg  0.2479  0.2450  0.2445 (multiplicity 1)
Cr  0.6399  0.0966  0.6131 (multiplicity 1)
Cr  0.6401  0.6129  0.0983 (multiplicity 1)
W  0.1763  0.6114  0.6113 (multiplicity 1)
W  0.5846  0.6062  0.6060 (multiplicity 1)
S  0.3986  0.3755  0.3758 (multiplicity 1)
S  0.3991  0.8478  0.3272 (multiplicity 1)
S  0.3995  0.3273  0.8478 (multiplicity 1)
S  0.4178  0.8390  0.8403 (multiplicity 1)
S  0.8387  0.3701  0.3719 (multiplicity 1)
S  0.8694  0.4054  0.8362 (multiplicity 1)
S  0.8691  0.8361  0.4054 (multiplicity 1)
S  0.8880  0.8425  0.8430 (multiplicity 1)

---

Theoretical powder diffraction line list of CaBi2C2O8 for Cu Kα (weighted mean of Kα1 and Kα2), from a PBE-relaxed structure.

Principal peaks in the range 2θ from 10° to 90°, low angle first:
hkl 0 1 1, 19.73 deg, d 4.501, I 24
hkl 0 1 3, 22.77 deg, d 3.905, I 64
hkl 0 1 5, 27.93 deg, d 3.194, I 100
hkl 1 0 3, 29.03 deg, d 3.075, I 44
hkl 0 0 8, 32.24 deg, d 2.777, I 26
hkl 1 1 0, 32.89 deg, d 2.723, I 73
hkl 1 0 5, 33.30 deg, d 2.690, I 74
hkl 1 1 2, 33.89 deg, d 2.645, I 30
hkl 1 1 6, 41.15 deg, d 2.194, I 38
hkl 1 1 8, 46.72 deg, d 1.944, I 38
hkl 1 2 5, 52.36 deg, d 1.747, I 33
hkl 1 1 10, 53.21 deg, d 1.721, I 26

Crystal structure
a b c (Å): 3.3809 4.5959 22.2143
angles (deg): 90.00 90.00 90.00
Space group Immm (No. 71)
Symmetry-distinct sites (fractional):
Ca  0.0000  0.0000  0.0000 (multiplicity 2)
Bi  0.0000  0.0000  0.1908 (multiplicity 4)
C  0.0000  0.0000  0.4085 (multiplicity 4)
O  0.0000  0.0000  0.3489 (multiplicity 4)
O  0.0000  0.2438  0.4362 (multiplicity 8)
O  0.0000  0.5000  0.2462 (multiplicity 4)

---

Theoretical powder diffraction line list of CdHgTe2 for Cu Kα (weighted mean of Kα1 and Kα2), from a PBE-relaxed structure.

Principal peaks in the range 2θ from 10° to 90°, low angle first:
hkl 0 0 3, 11.53 deg, d 7.674, I 5
hkl 1 0 1, 22.15 deg, d 4.013, I 3
hkl 0 1 2, 23.16 deg, d 3.841, I 100
hkl 1 1 0, 38.27 deg, d 2.352, I 81
hkl 2 0 2, 45.21 deg, d 2.006, I 51
hkl 2 0 8, 55.23 deg, d 1.663, I 14
hkl 0 1 14, 60.68 deg, d 1.526, I 21
hkl 3 0 0, 69.18 deg, d 1.358, I 28
hkl 3 0 6, 74.05 deg, d 1.280, I 15
hkl 2 2 0, 81.92 deg, d 1.176, I 9
hkl 2 2 6, 86.54 deg, d 1.125, I 12
hkl 1 1 18, 86.63 deg, d 1.124, I 4

Crystal structure
a b c (Å): 4.7061 4.7061 23.0223
angles (deg): 90.00 90.00 120.00
Space group R3m (No. 160, hexagonal axes)
Symmetry-distinct sites (fractional):
Cd  0.0000  0.0000  0.0000 (multiplicity 3)
Hg  0.0000  0.0000  0.5001 (multiplicity 3)
Te  0.0000  0.0000  0.1248 (multiplicity 3)
Te  0.0000  0.0000  0.6253 (multiplicity 3)

---

Theoretical powder diffraction line list of Ce3MnAlS7 for Cu Kα (weighted mean of Kα1 and Kα2), from a PBE-relaxed structure.

Principal peaks in the range 2θ from 10° to 90°, low angle first:
hkl 1 0 1, 17.95 deg, d 4.941, I 44
hkl 1 1 1, 23.07 deg, d 3.855, I 33
hkl 2 0 1, 25.26 deg, d 3.525, I 100
hkl 1 2 0, 27.07 deg, d 3.294, I 41
hkl 3 0 1, 34.30 deg, d 2.614, I 41
hkl 1 1 2, 34.82 deg, d 2.576, I 27
hkl 2 2 0, 35.69 deg, d 2.516, I 39
hkl 2 0 2, 36.36 deg, d 2.471, I 49
hkl 1 3 0, 37.20 deg, d 2.417, I 27
hkl 3 1 1, 40.23 deg, d 2.242, I 45
hkl 1 2 2, 40.68 deg, d 2.218, I 34
hkl 1 4 1, 50.34 deg, d 1.813, I 30

Crystal structure
a b c (Å): 10.0622 10.0622 5.9989
angles (deg): 90.00 90.00 120.00
Space group P6_3 (No. 173)
Symmetry-distinct sites (fractional):
Ce  0.1408  0.3724  0.0000 (multiplicity 6)
Mn  0.0000  0.0000  0.2776 (multiplicity 2)
Al  0.3333  0.6667  0.4187 (multiplicity 2)
S  0.0923  0.2385  0.5448 (multiplicity 6)
S  0.0989  0.5792  0.2726 (multiplicity 6)
S  0.3333  0.6667  0.7910 (multiplicity 2)

---

Theoretical powder diffraction line list of EuSnRh2 for Cu Kα (weighted mean of Kα1 and Kα2), from a PBE-relaxed structure.

Principal peaks in the range 2θ from 10° to 90°, low angle first:
hkl 1 1 1, 22.99 deg, d 3.869, I 1
hkl 2 0 0, 26.61 deg, d 3.350, I 2
hkl 2 2 0, 37.98 deg, d 2.369, I 100
hkl 2 2 2, 46.98 deg, d 1.934, I 1
hkl 4 0 0, 54.80 deg, d 1.675, I 17
hkl 4 2 0, 61.93 deg, d 1.498, I 1
hkl 4 2 2, 68.62 deg, d 1.368, I 35
hkl 4 4 0, 81.21 deg, d 1.184, I 11
hkl 6 0 0, 87.31 deg, d 1.117, I 1

Crystal structure
a b c (Å): 6.7005 6.7005 6.7005
angles (deg): 90.00 90.00 90.00
Space group Fm-3m (No. 225)
Symmetry-distinct sites (fractional):
Eu  0.0000  0.0000  0.0000 (multiplicity 4)
Sn  0.0000  0.0000  0.5000 (multiplicity 4)
Rh  0.2500  0.2500  0.2500 (multiplicity 8)

---

Theoretical powder diffraction line list of Rb2UF6 for Cu Kα (weighted mean of Kα1 and Kα2), from a PBE-relaxed structure.

Principal peaks in the range 2θ from 10° to 90°, low angle first:
hkl 0 2 0, 14.25 deg, d 6.217, I 15
hkl 1 1 0, 14.42 deg, d 6.144, I 35
hkl 0 2 1, 18.44 deg, d 4.812, I 20
hkl 1 3 0, 24.90 deg, d 3.575, I 33
hkl 2 0 0, 25.20 deg, d 3.533, I 33
hkl 1 1 2, 27.57 deg, d 3.235, I 100
hkl 2 2 2, 37.65 deg, d 2.389, I 17
hkl 1 5 1, 40.23 deg, d 2.242, I 14
hkl 2 4 1, 40.43 deg, d 2.231, I 17
hkl 3 1 2, 45.90 deg, d 1.977, I 24
hkl 1 7 0, 53.19 deg, d 1.722, I 13
hkl 1 9 2, 74.29 deg, d 1.277, I 14

Crystal structure
a b c (Å): 7.0670 12.4349 7.6009
angles (deg): 90.00 90.00 90.00
Space group Cmcm (No. 63)
Symmetry-distinct sites (fractional):
Rb  0.0000  0.1578  0.0016 (multiplicity 8)
U  0.0000  0.4483  0.2500 (multiplicity 4)
F  0.0000  0.4005  0.5418 (multiplicity 8)
F  0.1932  0.3013  0.2500 (multiplicity 8)
F  0.2057  0.0086  0.2500 (multiplicity 8)